Starting from a crystal structure in Alexandria, relaxed with PBE+U, the PXRD pattern of TmMnIn2O6 was computed for Cu Kα.
Intensities are scaled so that the largest is 100.

The 6 most intense peaks (15 to 90 degrees two-theta), by angle:
| two_theta | d [Å] | I_rel | (hkl) |
| --- | --- | --- | --- |
| 30.02 | 2.977 | 100.0 | 1 0 1 |
| 30.82 | 2.901 | 91.3 | 1 1 -1 |
| 31.27 | 2.860 | 82.0 | 0 1 2 |
| 31.88 | 2.807 | 91.0 | -1 1 1 |
| 32.60 | 2.747 | 81.7 | 1 2 1 |
| 33.11 | 2.706 | 77.9 | 2 1 0 |

Crystal structure
a = 5.4148 Å, b = 5.5016 Å, c = 5.7402 Å
α = 62.54°, β = 89.78°, γ = 62.02°
Sites, in units of the cell vectors:
1 Tm 0.0000 0.0000 0.0000
2 Mn 0.5115 0.9827 0.5265
3 In 0.2171 0.5651 0.6400
4 In 0.7181 0.5580 0.1585
5 O 0.1136 0.4921 0.3178
6 O 0.3201 0.7997 0.8019
7 O 0.4084 0.8124 0.3247
8 O 0.6030 0.0905 0.7912
9 O 0.7778 0.0857 0.3227
10 O 0.9098 0.4827 0.8345